Structure and calculated powder diffraction line list of CsAlBr4 (DFT lattice parameters and positions (PBE); Cu Kα).

Structure:
a = 12.5947 Å, b = 7.7492 Å, c = 10.2431 Å
α = 90.00°, β = 90.00°, γ = 90.00°
Space group Pnma (No. 62)
Inequivalent atoms, fractional coordinates:
Cs1 0.1792 0.2500 0.1747 x4
Al1 0.0709 0.2500 0.6930 x4
Br1 0.0827 0.0075 0.8282 x8
Br2 0.0891 0.7500 0.4176 x4
Br3 0.2161 0.2500 0.5527 x4

Principal peaks in the range 2θ = 10–80°, by angle:
Position (°2θ)	I_rel	h k l
22.0	60.1	1 1 2
25.6	74.8	1 2 1
27.0	77.1	2 2 0
27.5	69.2	3 0 2
28.4	100.0	2 2 1
29.5	41.1	1 1 3
29.7	99.1	4 0 1
30.6	38.5	4 1 0
47.8	36.3	3 2 4
50.8	37.1	5 2 3